Record 1
Theoretical PXRD pattern
Compound: Cu6BiSe6
Radiation: Cu Kα (weighted mean of Kα1 and Kα2)
Structure: a DFT-relaxed cell (PBE, the Materials Project)
Peak positions follow from Bragg's law for the DFT cell and can differ from measured ones.

Principal peaks in the range 2θ = 15–90°, sorted by position:
- d 3.615, I = 60
- d 3.581, I = 50
- d 3.216, I = 48
- d 3.089, I = 100
- d 3.069, I = 60
- d 2.289, I = 59
- d 2.046, I = 47
- d 2.010, I = 99
- d 1.934, I = 92
- d 1.860, I = 79

Lattice parameters (Å, degrees): 9.6528 4.0196 27.2842 90.00 90.00 90.00
Atoms (fractional coordinates):
1 Cu 0.0262 0.2500 0.1157
2 Cu 0.0688 0.2500 0.0227
3 Cu 0.0810 0.2500 0.4964
4 Cu 0.1488 0.2500 0.2590
5 Cu 0.1916 0.2500 0.7847
6 Cu 0.2167 0.7500 0.4461
7 Cu 0.2833 0.2500 0.9461
8 Cu 0.3084 0.7500 0.2847
9 Cu 0.3512 0.7500 0.7590
10 Cu 0.4190 0.7500 0.9964
11 Cu 0.4312 0.7500 0.5227
12 Cu 0.4738 0.7500 0.6157
13 Cu 0.5262 0.2500 0.3843
14 Cu 0.5688 0.2500 0.4773
15 Cu 0.5810 0.2500 0.0036
16 Cu 0.6488 0.2500 0.2410
17 Cu 0.6916 0.2500 0.7153
18 Cu 0.7167 0.7500 0.0539
19 Cu 0.7833 0.2500 0.5539
20 Cu 0.8084 0.7500 0.2153
21 Cu 0.8512 0.7500 0.7410
22 Cu 0.9190 0.7500 0.5036
23 Cu 0.9312 0.7500 0.9773
24 Cu 0.9738 0.7500 0.8843
25 Bi 0.1030 0.2500 0.6381
26 Bi 0.3970 0.7500 0.1381
27 Bi 0.6030 0.2500 0.8619
28 Bi 0.8970 0.7500 0.3619
29 Se 0.0111 0.7500 0.2688
30 Se 0.0298 0.2500 0.9343
31 Se 0.1359 0.2500 0.3997
32 Se 0.1696 0.7500 0.5357
33 Se 0.1830 0.7500 0.8318
34 Se 0.2134 0.2500 0.1721
35 Se 0.2866 0.7500 0.6721
36 Se 0.3170 0.2500 0.3318
37 Se 0.3304 0.2500 0.0357
38 Se 0.3641 0.7500 0.8997
39 Se 0.4702 0.7500 0.4343
40 Se 0.4889 0.2500 0.7688
41 Se 0.5111 0.7500 0.2312
42 Se 0.5298 0.2500 0.5657
43 Se 0.6359 0.2500 0.1003
44 Se 0.6696 0.7500 0.9643
45 Se 0.6830 0.7500 0.6682
46 Se 0.7134 0.2500 0.3279
47 Se 0.7866 0.7500 0.8279
48 Se 0.8170 0.2500 0.1682
49 Se 0.8304 0.2500 0.4643
50 Se 0.8641 0.7500 0.6003
51 Se 0.9702 0.7500 0.0657
52 Se 0.9889 0.2500 0.7312

---

Record 2
Theoretical PXRD pattern
Compound: BaSmEuBiO6
Radiation: Cu Kα (weighted mean of Kα1 and Kα2)
Structure: a DFT-relaxed cell (PBE, the Materials Project)
Peak positions follow from Bragg's law for the DFT cell and can differ from measured ones.

Principal peaks in the range 2θ = 15–90°, sorted by position:
- d 5.055, I = 2
- d 4.378, I = 4
- d 3.095, I = 100
- d 2.189, I = 28
- d 1.787, I = 42
- d 1.548, I = 18
- d 1.384, I = 19
- d 1.264, I = 6
- d 1.170, I = 22
- d 1.094, I = 3

Lattice parameters (Å, degrees): 6.1909 6.1909 6.1909 60.00 60.00 60.00
Atoms (fractional coordinates):
1 Ba 0.0000 0.0000 0.0000
2 Sm 0.2500 0.2500 0.2500
3 Eu 0.5000 0.5000 0.5000
4 Bi 0.7500 0.7500 0.7500
5 O 0.5080 0.5080 0.9920
6 O 0.5080 0.9920 0.5080
7 O 0.5080 0.9920 0.9920
8 O 0.9920 0.5080 0.5080
9 O 0.9920 0.5080 0.9920
10 O 0.9920 0.9920 0.5080